Computed PXRD pattern of Al2P for Cu Ka, from the PBE geometry in Alexandria.

Structural model:
```
6
Lattice="5.8030 -1.7746 0.0000 5.8030 1.7746 0.0000 -0.5505 0.0000 5.0942" Properties=species:S:1:pos:R:3 pbc="T T T"
Al 0.2778 0.0000 1.3351
Al 3.7534 0.0000 1.4277
Al 7.3021 0.0000 3.6665
Al 10.7777 0.0000 3.7591
P 3.3150 0.0000 3.9802
P 7.7404 0.0000 1.1139
```

Top 10 peaks for 2θ = 15–90°, sorted by position:
2theta, I (rel.)
34.38, 100
35.24, 49
37.58, 7
39.96, 7
47.26, 12
48.08, 33
51.50, 18
51.98, 27
63.94, 16
85.96, 7

---

Computed PXRD pattern of Al3P4 for Cu Ka, from the PBE geometry in Alexandria.

Structural model:
```
7
Lattice="-1.6165 1.6165 10.3660 1.6165 -1.6165 10.3660 1.6165 1.6165 -10.3660" Properties=species:S:1:pos:R:3 pbc="T T T"
Al 0.0000 0.0000 0.0000
Al 0.0000 0.0000 6.0559
Al 0.0000 0.0000 14.6761
P 0.0000 0.0000 2.6840
P 0.0000 0.0000 8.6670
P 0.0000 0.0000 12.0649
P 0.0000 0.0000 18.0480
```

Top 10 peaks for 2θ = 15–90°, sorted by position:
2theta, I (rel.)
17.11, 12
39.42, 70
41.34, 100
56.97, 23
60.26, 7
72.79, 36
76.67, 8
84.82, 7
85.01, 8
89.82, 6

---

Computed PXRD pattern of Al3P5 for Cu Ka, from the PBE geometry in Alexandria.

Structural model:
```
16
Lattice="6.5098 0.0000 0.0000 -1.2215 6.9077 0.0000 -0.1883 -1.7282 8.3560" Properties=species:S:1:pos:R:3 pbc="T T T"
Al 0.0000 0.0000 0.0000
Al -0.2871 0.9907 3.8482
Al 1.3470 5.0499 2.5933
Al 2.5213 5.5043 6.6122
Al 4.4612 2.1189 6.1550
Al 4.5106 4.7875 2.7087
P -0.1462 3.3864 3.4700
P 0.7428 -0.3296 2.1739
P -0.0195 3.3565 5.6608
P 0.5184 0.4417 6.1295
P 0.1520 5.3587 6.5799
P 2.9017 4.0727 1.0619
P 2.8769 5.7214 4.2964
P 3.8811 1.0273 4.0366
P 3.4236 3.5823 7.7240
P 5.2493 0.2967 7.5055
```

Top 10 peaks for 2θ = 15–90°, sorted by position:
2theta, I (rel.)
18.47, 38
19.28, 72
20.77, 29
21.25, 100
24.92, 51
26.14, 51
27.85, 86
29.30, 31
31.82, 30
34.33, 37

---

Computed PXRD pattern of AlP2Pb for Cu Ka, from the PBE geometry in Alexandria.

Structural model:
```
4
Lattice="4.0424 0.0000 0.0000 0.0000 4.1027 0.0000 -0.6801 0.0000 6.1008" Properties=species:S:1:pos:R:3 pbc="T T T"
Al 0.0000 0.0000 0.0000
P 2.0117 0.0000 1.2922
P 3.2875 2.0514 4.8578
Pb 1.3344 2.0514 2.9799
```

Top 10 peaks for 2θ = 15–90°, sorted by position:
2theta, I (rel.)
21.66, 44
22.13, 40
25.15, 47
26.18, 100
27.91, 54
31.16, 36
33.43, 43
35.60, 28
41.45, 40
45.07, 46

---

Computed PXRD pattern of AlPPb2 for Cu Ka, from the PBE geometry in Alexandria.

Structural model:
```
4
Lattice="5.3247 0.0000 0.0000 0.0000 3.7134 0.0000 -2.4333 0.0000 5.1023" Properties=species:S:1:pos:R:3 pbc="T T T"
Al 0.0000 0.0000 0.0000
P -1.3881 1.8567 4.0309
Pb 0.7109 0.0000 2.9369
Pb 3.0606 1.8567 1.1846
```

Top 10 peaks for 2θ = 15–90°, sorted by position:
2theta, I (rel.)
17.38, 22
18.46, 36
29.76, 64
30.42, 52
30.55, 59
30.86, 100
31.86, 41
33.70, 37
43.02, 36
44.93, 38

---

Computed PXRD pattern of AlPPd4 for Cu Ka, from the PBE geometry in Alexandria.

Structural model:
```
24
Lattice="6.6121 0.0000 0.0000 0.0000 3.4263 0.0000 0.0000 0.0000 15.5754" Properties=species:S:1:pos:R:3 pbc="T T T"
Al 1.5777 0.8566 2.9708
Al 1.7284 2.5697 10.7585
Al 4.8837 0.8566 4.8170
Al 5.0345 2.5697 12.6047
P 1.6376 2.5697 6.8700
P 1.6685 0.8566 14.6577
P 4.9437 2.5697 0.9177
P 4.9745 0.8566 8.7055
Pd 0.1314 2.5697 8.8501
Pd 0.2702 2.5697 4.4558
Pd 0.8498 2.5697 0.8345
Pd 0.8634 2.5697 13.1696
Pd 2.4427 0.8566 5.3818
Pd 2.4563 0.8566 8.6222
Pd 3.0359 0.8566 12.2436
Pd 3.1746 0.8566 1.0624
Pd 3.4375 2.5697 14.5131
Pd 3.5763 2.5697 3.3319
Pd 4.1558 2.5697 6.9533
Pd 4.1695 2.5697 10.1936
Pd 5.7487 0.8566 2.4059
Pd 5.7624 0.8566 14.7410
Pd 6.3419 0.8566 11.1196
Pd 6.4807 0.8566 6.7254
```

Top 10 peaks for 2θ = 15–90°, sorted by position:
2theta, I (rel.)
26.57, 14
37.52, 100
37.81, 43
39.08, 19
39.76, 20
41.37, 21
41.76, 35
42.88, 17
47.40, 19
53.49, 22